The following is a simulated powder X-ray diffraction pattern of Mn8O13F3. It was derived from a DFT-relaxed cell (GGA+U, Alexandria), using Cu Kα.

Cell and atoms:
```
Mn8O13F3
1.0
4.511 0.000 0.000
0.199 5.519 0.000
0.057 0.024 9.979
Mn O F
8 13 3
direct
0.000 0.000 0.000
0.000 0.013 0.497
0.011 0.719 0.247
0.018 0.716 0.755
0.495 0.516 0.493
0.512 0.215 0.739
0.522 0.527 0.997
0.525 0.218 0.235
0.222 0.744 0.412
0.238 0.969 0.661
0.240 0.751 0.911
0.243 0.970 0.158
0.261 0.468 0.660
0.279 0.475 0.155
0.721 0.245 0.578
0.739 0.471 0.831
0.741 0.469 0.328
0.746 0.249 0.078
0.763 0.970 0.331
0.770 0.970 0.835
0.787 0.758 0.086
0.266 0.236 0.907
0.271 0.240 0.392
0.769 0.739 0.597
```

Main lines, in order of falling intensity (2θ from 10° to 90°):
two_theta	Rel. int.	(hkl)
31.65	100	-1 1 2
25.05	64	1 1 0
25.97	54	1 -1 0
30.80	53	1 1 2
30.98	46	1 1 -2
54.73	46	2 0 4
55.06	24	2 0 -4
37.19	24	0 2 2